Structure and theoretical powder XRD pattern of ZnCuP2O7 (a structure optimized by DFT (PBE); λ = 1.5418 Å (Cu Kα)).

Crystal structure
abc: 6.991 8.294 9.340
angles: 90.00 109.55 90.00
Space group P2_1/c (No. 14)
Unique sites:
Zn 0.189 0.060 0.314 x4
Cu 0.266 0.068 0.890 x4
P 0.037 0.732 0.974 x4
P 0.430 0.733 0.254 x4
O 0.004 0.092 0.637 x4
O 0.053 0.606 0.396 x4
O 0.125 0.245 0.447 x4
O 0.247 0.687 0.101 x4
O 0.381 0.242 0.296 x4
O 0.385 0.609 0.815 x4
O 0.453 0.591 0.364 x4

Largest 10 diffraction maxima, in order of rising 2θ, 10° ≤ 2θ ≤ 80°:
(1 0 -2), 20.2 deg, intensity 26; (1 0 2), 27.9 deg, intensity 86; (1 2 -2), 29.6 deg, intensity 100; (2 1 -2), 29.9 deg, intensity 53; (2 2 0), 34.8 deg, intensity 23; (1 3 0), 35.2 deg, intensity 28; (1 1 3), 39.1 deg, intensity 24; (2 3 -2), 43.2 deg, intensity 33; (0 1 5), 53.2 deg, intensity 22; (3 3 -4), 58.9 deg, intensity 23